# K2HfAgS4
Theoretical powder X-ray diffraction pattern, Cu Kα X-rays. Input: the PBE geometry in Alexandria.

Peak list (8 most intense, 5 to 70 degrees two-theta, most intense first)
| 2theta | I (rel.) |
| --- | --- |
| 12.43 | 100 |
| 32.00 | 75 |
| 28.30 | 49 |
| 44.04 | 31 |
| 27.52 | 29 |
| 42.42 | 26 |
| 25.00 | 24 |
| 26.29 | 17 |

Structural model:
abc: 7.3786 3.7773 7.7512
angles: 90.00 113.22 90.00
Sites, in units of the cell vectors:
K 0.0000 0.0000 0.0000
K 0.5000 0.5000 0.0000
Hf 0.0000 0.5000 0.5000
Ag 0.5000 0.0000 0.5000
S 0.1912 0.0000 0.7182
S 0.2588 0.5000 0.3449
S 0.7412 0.5000 0.6551
S 0.8088 0.0000 0.2818